Entry 1:
Structure and theoretical powder X-ray diffraction pattern of As2S (the PBE geometry in Alexandria; a wavelength of 1.5418 Å).
Peak positions follow from Bragg's law for the DFT cell and can differ from measured ones.

Most intense lines, 2θ from 10° to 80°, in order of rising 2θ:
- 2θ 17.5, rel. 100.0
- 2θ 19.7, rel. 27.1
- 2θ 28.1, rel. 28.1
- 2θ 29.1, rel. 20.6
- 2θ 32.9, rel. 33.9
- 2θ 37.3, rel. 22.4
- 2θ 42.0, rel. 12.6
- 2θ 45.5, rel. 15.8
- 2θ 46.7, rel. 13.0
- 2θ 47.0, rel. 17.5

Crystal structure
```
As2S
1.0
5.147 -3.065 0.000
5.147 3.065 0.000
-3.513 0.000 6.345
As S
4 2
direct
0.078 0.112 0.191
0.112 0.078 0.691
0.888 0.922 0.309
0.922 0.888 0.809
0.329 0.671 0.750
0.671 0.329 0.250
```

Entry 2:
Structure and theoretical powder X-ray diffraction pattern of Ho2NbGeN5 (the PBE geometry in Alexandria; a wavelength of 1.5418 Å).
Peak positions follow from Bragg's law for the DFT cell and can differ from measured ones.

Most intense lines, 2θ from 10° to 80°, in order of rising 2θ:
- 2θ 29.6, rel. 30.0
- 2θ 31.6, rel. 100.0
- 2θ 34.0, rel. 64.3
- 2θ 34.4, rel. 45.9
- 2θ 35.6, rel. 40.7
- 2θ 39.6, rel. 41.8
- 2θ 47.4, rel. 20.4
- 2θ 50.3, rel. 21.4
- 2θ 58.3, rel. 24.1
- 2θ 67.6, rel. 23.0

Crystal structure
```
Ho2NbGeN5
1.0
1.589 -6.852 0.000
1.589 6.852 0.000
0.000 0.000 10.086
Ho Nb Ge N
4 2 2 10
direct
0.118 0.882 0.500
0.129 0.871 0.068
0.871 0.129 0.568
0.882 0.118 0.000
0.226 0.774 0.793
0.774 0.226 0.293
0.490 0.510 0.263
0.510 0.490 0.763
0.057 0.943 0.839
0.286 0.714 0.433
0.298 0.702 0.154
0.371 0.629 0.798
0.499 0.501 0.079
0.501 0.499 0.579
0.629 0.371 0.298
0.702 0.298 0.654
0.714 0.286 0.933
0.943 0.057 0.339
```